Diffraction record for SrH16O10. The X-ray diffraction stick pattern is calculated, not measured: it uses a crystal structure in the Materials Project, relaxed with PBE and Cu Kα (λ = 1.5418 Å).
Kinematic intensities with the Lorentz-polarization factor, no thermal factor.

Peak list (6 most intense, 2θ = 10–90°, low angle first)
| d (Å) | I (rel.) |
| --- | --- |
| 6.342 | 53 |
| 5.581 | 63 |
| 3.496 | 100 |
| 2.757 | 52 |
| 2.749 | 52 |
| 2.005 | 51 |

Crystal structure
Unit cell a=6.341 b=6.343 c=11.162 alpha=90.00 beta=90.11 gamma=90.00
Fractional positions:
Sr 0.000 0.006 0.000
Sr 0.000 0.994 0.500
H 0.039 0.453 0.874
H 0.039 0.547 0.374
H 0.141 0.312 0.714
H 0.141 0.688 0.214
H 0.277 0.393 0.602
H 0.277 0.607 0.102
H 0.279 0.390 0.893
H 0.279 0.610 0.393
H 0.315 0.142 0.284
H 0.315 0.858 0.784
H 0.387 0.263 0.402
H 0.387 0.737 0.902
H 0.391 0.278 0.102
H 0.391 0.722 0.602
H 0.449 0.035 0.121
H 0.449 0.965 0.621
H 0.550 0.039 0.874
H 0.550 0.961 0.374
H 0.609 0.277 0.603
H 0.609 0.723 0.103
H 0.612 0.280 0.893
H 0.612 0.720 0.393
H 0.688 0.140 0.714
H 0.688 0.860 0.214
H 0.722 0.390 0.103
H 0.722 0.610 0.603
H 0.736 0.386 0.402
H 0.736 0.614 0.902
H 0.857 0.314 0.284
H 0.857 0.686 0.784
H 0.965 0.451 0.121
H 0.965 0.549 0.621
O 0.134 0.330 0.624
O 0.134 0.670 0.124
O 0.137 0.329 0.868
O 0.137 0.671 0.368
O 0.328 0.137 0.129
O 0.328 0.863 0.629
O 0.331 0.123 0.373
O 0.331 0.877 0.873
O 0.500 0.495 0.068
O 0.500 0.505 0.568
O 0.503 0.497 0.433
O 0.503 0.503 0.933
O 0.670 0.133 0.624
O 0.670 0.867 0.124
O 0.673 0.138 0.867
O 0.673 0.862 0.367
O 0.865 0.329 0.128
O 0.865 0.671 0.628
O 0.875 0.327 0.373
O 0.875 0.673 0.873

***

Diffraction record for SrH4O6. The X-ray diffraction stick pattern is calculated, not measured: it uses a crystal structure in the Materials Project, relaxed with PBE and Cu Kα (λ = 1.5418 Å).
Kinematic intensities with the Lorentz-polarization factor, no thermal factor.

Peak list (6 most intense, 2θ = 10–90°, low angle first)
| d (Å) | I (rel.) |
| --- | --- |
| 4.226 | 71 |
| 4.179 | 100 |
| 2.676 | 46 |
| 2.488 | 79 |
| 2.324 | 52 |
| 2.058 | 39 |

Crystal structure
Unit cell a=5.872 b=5.872 c=6.058 alpha=90.57 beta=90.57 gamma=96.36
Fractional positions:
Sr 0.192 0.808 0.750
Sr 0.808 0.192 0.250
H 0.000 0.320 0.746
H 0.000 0.680 0.254
H 0.290 0.395 0.076
H 0.320 0.000 0.246
H 0.395 0.290 0.576
H 0.605 0.710 0.424
H 0.680 0.000 0.754
H 0.710 0.605 0.924
O 0.068 0.232 0.611
O 0.090 0.541 0.086
O 0.232 0.068 0.111
O 0.268 0.400 0.561
O 0.400 0.268 0.061
O 0.459 0.910 0.414
O 0.541 0.090 0.586
O 0.600 0.732 0.939
O 0.732 0.600 0.439
O 0.768 0.932 0.889
O 0.910 0.459 0.914
O 0.932 0.768 0.389

***

Diffraction record for SrH2O2. The X-ray diffraction stick pattern is calculated, not measured: it uses a crystal structure in the Materials Project, relaxed with PBE and Cu Kα (λ = 1.5418 Å).
Kinematic intensities with the Lorentz-polarization factor, no thermal factor.

Peak list (6 most intense, 2θ = 10–90°, low angle first)
| d (Å) | I (rel.) |
| --- | --- |
| 5.198 | 56 |
| 3.868 | 42 |
| 3.150 | 100 |
| 2.929 | 45 |
| 2.344 | 53 |
| 1.955 | 62 |

Crystal structure
Unit cell a=10.027 b=3.959 c=6.079 alpha=90.00 beta=90.00 gamma=90.00
Fractional positions:
Sr 0.159 0.250 0.100
Sr 0.341 0.750 0.600
Sr 0.659 0.250 0.400
Sr 0.841 0.750 0.900
H 0.032 0.750 0.373
H 0.093 0.750 0.687
H 0.407 0.250 0.187
H 0.468 0.250 0.873
H 0.532 0.750 0.127
H 0.593 0.750 0.813
H 0.907 0.250 0.313
H 0.968 0.250 0.627
O 0.104 0.750 0.848
O 0.129 0.750 0.370
O 0.371 0.250 0.870
O 0.396 0.250 0.348
O 0.604 0.750 0.652
O 0.629 0.750 0.130
O 0.871 0.250 0.630
O 0.896 0.250 0.152